This entry pairs a crystal structure of Mn2InAsO6 with its simulated X-ray powder pattern. Radiation: Cu Kα (weighted mean of Kα1 and Kα2). Structure: a crystal structure in Alexandria, relaxed with PBE+U.
Peak positions follow from Bragg's law for the DFT cell and can differ from measured ones.

Principal peaks in the range 10° ≤ 2θ ≤ 90°, most intense first:
| d [Å] | Rel. int. |
| --- | --- |
| 2.784 | 100.0 |
| 2.681 | 85.3 |
| 3.862 | 44.0 |
| 1.931 | 43.7 |
| 1.567 | 37.7 |
| 1.754 | 32.1 |
| 1.548 | 28.8 |
| 2.321 | 13.7 |
| 1.340 | 13.2 |
| 1.208 | 12.9 |

Structural model:
a b c (Å): 5.5757 5.5757 5.5757
angles (deg): 57.48 57.48 57.48
Positions (direct):
Mn (0.0000, 0.0000, 0.0000)
Mn (0.4928, 0.4928, 0.4928)
In (0.2192, 0.2192, 0.2192)
As (0.7093, 0.7093, 0.7093)
O (0.0552, 0.4597, 0.8181)
O (0.3535, 0.9057, 0.6061)
O (0.4597, 0.8181, 0.0552)
O (0.6061, 0.3535, 0.9057)
O (0.8181, 0.0552, 0.4597)
O (0.9057, 0.6061, 0.3535)